Theoretical PXRD pattern of K4Ce3TeSe8 for Cu Kα (λ = 1.5418 Å), from a structure optimized by DFT (GGA-PBE).
No peak broadening, texture or thermal motion is included.

```
data_K4Ce3TeSe8
_space_group_name_H-M_alt 'C 1 2/m 1'
_space_group_IT_number 12
_space_group_name_Hall '-C 2y'
_cell_length_a 15.831
_cell_length_b 8.559
_cell_length_c 9.041
_cell_angle_alpha 90.00
_cell_angle_beta 122.00
_cell_angle_gamma 90.00
loop_
_atom_site_label
_atom_site_type_symbol
_atom_site_fract_x
_atom_site_fract_y
_atom_site_fract_z
K1 K 0.000 0.000 0.000
K2 K 0.000 0.500 0.000
K3 K 0.250 0.250 0.000
Ce1 Ce 0.000 0.000 0.500
Ce2 Ce 0.250 0.250 0.500
Te1 Te 0.000 0.500 0.500
Se1 Se 0.024 0.257 0.308
Se2 Se 0.226 0.000 0.268
Se3 Se 0.228 0.000 0.706
```

Principal peaks in the range 2θ = 5–70°, most intense first:
- hkl 2 2 -2, 28.74 deg, d = 3.106 Å, rel. 100.0
- hkl 0 0 1, 11.54 deg, d = 7.668 Å, rel. 74.4
- hkl 4 0 0, 26.56 deg, d = 3.357 Å, rel. 56.7
- hkl 6 2 -2, 40.21 deg, d = 2.243 Å, rel. 36.6
- hkl 2 2 2, 38.84 deg, d = 2.319 Å, rel. 34.2
- hkl 4 4 0, 50.61 deg, d = 1.804 Å, rel. 23.9
- hkl 2 2 -3, 36.85 deg, d = 2.439 Å, rel. 19.1
- hkl 0 4 0, 42.23 deg, d = 2.140 Å, rel. 18.8
- hkl 4 0 -4, 39.93 deg, d = 2.258 Å, rel. 15.5
- hkl 2 2 3, 49.20 deg, d = 1.852 Å, rel. 9.7

---

Theoretical PXRD pattern of K3Ce3TiTe8 for Cu Kα (λ = 1.5418 Å), from a structure optimized by DFT (GGA-PBE).
No peak broadening, texture or thermal motion is included.

```
data_K3Ce3TiTe8
_space_group_name_H-M_alt 'C 1 2/m 1'
_space_group_IT_number 12
_space_group_name_Hall '-C 2y'
_cell_length_a 15.491
_cell_length_b 8.905
_cell_length_c 9.830
_cell_angle_alpha 90.00
_cell_angle_beta 122.14
_cell_angle_gamma 90.00
loop_
_atom_site_label
_atom_site_type_symbol
_atom_site_fract_x
_atom_site_fract_y
_atom_site_fract_z
K1 K 0.000 0.000 0.000
K2 K 0.250 0.250 0.000
Ce1 Ce 0.000 0.000 0.500
Ce2 Ce 0.250 0.250 0.500
Ti1 Ti 0.000 0.500 0.500
Te1 Te 0.010 0.270 0.300
Te2 Te 0.225 0.500 0.705
Te3 Te 0.241 0.000 0.716
```

Principal peaks in the range 2θ = 5–70°, most intense first:
- hkl 4 0 0, 27.14 deg, d = 3.286 Å, rel. 100.0
- hkl 0 0 1, 10.63 deg, d = 8.324 Å, rel. 47.9
- hkl 6 2 -2, 40.38 deg, d = 2.233 Å, rel. 23.8
- hkl 2 2 2, 37.11 deg, d = 2.422 Å, rel. 22.0
- hkl 2 2 -3, 34.16 deg, d = 2.625 Å, rel. 14.3
- hkl 4 4 0, 49.49 deg, d = 1.842 Å, rel. 11.9
- hkl 0 4 0, 40.52 deg, d = 2.226 Å, rel. 11.6
- hkl 4 0 -4, 36.84 deg, d = 2.440 Å, rel. 10.8
- hkl 2 2 3, 46.49 deg, d = 1.953 Å, rel. 9.2
- hkl 4 0 1, 34.31 deg, d = 2.613 Å, rel. 6.7

---

Theoretical PXRD pattern of LiLaCe for Cu Kα (λ = 1.5418 Å), from a structure optimized by DFT (GGA-PBE).
No peak broadening, texture or thermal motion is included.

```
data_LiLaCe
_space_group_name_H-M_alt 'P 4/n m m'
_space_group_IT_number 129
_cell_length_a 3.516
_cell_length_b 3.516
_cell_length_c 13.370
_cell_angle_alpha 90.00
_cell_angle_beta 90.00
_cell_angle_gamma 90.00
loop_
_space_group_symop_operation_xyz
'x,y,z'
'-x,-y,-z'
'-y+1/2,x,z'
'y+1/2,-x,-z'
'-x+1/2,-y+1/2,z'
'x+1/2,y+1/2,-z'
'y,-x+1/2,z'
'-y,x+1/2,-z'
'x+1/2,-y,-z'
'-x+1/2,y,z'
'-y,-x,-z'
'y,x,z'
'-x,y+1/2,-z'
'x,-y+1/2,z'
'y+1/2,x+1/2,-z'
'-y+1/2,-x+1/2,z'
loop_
_atom_site_label
_atom_site_type_symbol
_atom_site_fract_x
_atom_site_fract_y
_atom_site_fract_z
Li1 Li 0.250 0.250 0.054
La1 La 0.250 0.250 0.763
Ce1 Ce 0.250 0.250 0.418
```

Principal peaks in the range 2θ = 5–70°, most intense first:
- hkl 0 0 1, 6.61 deg, d = 13.370 Å, rel. 100.0
- hkl 1 0 3, 32.43 deg, d = 2.761 Å, rel. 77.6
- hkl 1 1 0, 36.13 deg, d = 2.486 Å, rel. 30.1
- hkl 1 0 2, 28.69 deg, d = 3.112 Å, rel. 27.1
- hkl 2 1 3, 62.65 deg, d = 1.483 Å, rel. 23.2
- hkl 1 1 6, 55.36 deg, d = 1.659 Å, rel. 15.1
- hkl 2 0 0, 52.01 deg, d = 1.758 Å, rel. 10.6
- hkl 0 0 6, 40.48 deg, d = 2.228 Å, rel. 9.4
- hkl 1 1 5, 50.10 deg, d = 1.821 Å, rel. 8.9
- hkl 2 0 6, 67.91 deg, d = 1.380 Å, rel. 8.1

---

Theoretical PXRD pattern of LiLaCe2N4 for Cu Kα (λ = 1.5418 Å), from a structure optimized by DFT (GGA-PBE).
No peak broadening, texture or thermal motion is included.

```
data_LiLaCe2N4
_space_group_name_H-M_alt 'C m c m'
_space_group_IT_number 63
_space_group_name_Hall '-C 2c 2'
_cell_length_a 3.578
_cell_length_b 11.589
_cell_length_c 11.598
_cell_angle_alpha 90.00
_cell_angle_beta 90.00
_cell_angle_gamma 90.00
loop_
_atom_site_label
_atom_site_type_symbol
_atom_site_fract_x
_atom_site_fract_y
_atom_site_fract_z
Li1 Li 0.000 0.160 0.250
La1 La 0.000 0.103 0.750
Ce1 Ce 0.000 0.368 0.558
N1 N 0.000 0.000 0.000
N2 N 0.000 0.261 0.111
N3 N 0.000 0.451 0.750
```

Principal peaks in the range 2θ = 5–70°, most intense first:
- hkl 0 2 3, 27.74 deg, d = 3.216 Å, rel. 100.0
- hkl 1 1 2, 30.35 deg, d = 2.945 Å, rel. 61.1
- hkl 0 4 0, 30.86 deg, d = 2.898 Å, rel. 44.0
- hkl 1 3 1, 35.05 deg, d = 2.560 Å, rel. 43.1
- hkl 1 3 2, 37.61 deg, d = 2.391 Å, rel. 39.7
- hkl 1 3 5, 52.66 deg, d = 1.738 Å, rel. 35.5
- hkl 1 1 5, 47.36 deg, d = 1.919 Å, rel. 32.6
- hkl 1 1 1, 27.20 deg, d = 3.279 Å, rel. 30.2
- hkl 2 2 3, 59.10 deg, d = 1.563 Å, rel. 24.2
- hkl 1 5 2, 49.42 deg, d = 1.844 Å, rel. 20.5

---

Theoretical PXRD pattern of LiLaCeTe3 for Cu Kα (λ = 1.5418 Å), from a structure optimized by DFT (GGA-PBE).
No peak broadening, texture or thermal motion is included.

```
data_LiLaCeTe3
_space_group_name_H-M_alt 'P 1 21/m 1'
_space_group_IT_number 11
_space_group_name_Hall '-P 2yb'
_cell_length_a 9.266
_cell_length_b 4.371
_cell_length_c 9.720
_cell_angle_alpha 90.00
_cell_angle_beta 103.30
_cell_angle_gamma 90.00
loop_
_atom_site_label
_atom_site_type_symbol
_atom_site_fract_x
_atom_site_fract_y
_atom_site_fract_z
Li1 Li 0.085 0.250 0.086
La1 La 0.182 0.250 0.729
Ce1 Ce 0.337 0.750 0.342
Te1 Te 0.092 0.250 0.371
Te2 Te 0.222 0.750 0.998
Te3 Te 0.424 0.750 0.681
```

Principal peaks in the range 2θ = 5–70°, most intense first:
- hkl 2 1 -1, 28.47 deg, d = 3.135 Å, rel. 100.0
- hkl 0 0 3, 28.31 deg, d = 3.153 Å, rel. 35.5
- hkl 2 1 2, 36.82 deg, d = 2.441 Å, rel. 25.5
- hkl 4 0 -1, 38.88 deg, d = 2.316 Å, rel. 20.7
- hkl 1 1 -3, 34.63 deg, d = 2.590 Å, rel. 19.6
- hkl 0 2 0, 41.31 deg, d = 2.186 Å, rel. 19.5
- hkl 0 0 1, 9.35 deg, d = 9.459 Å, rel. 16.8
- hkl 2 1 -3, 37.04 deg, d = 2.427 Å, rel. 16.2
- hkl 2 0 -1, 19.73 deg, d = 4.499 Å, rel. 14.7
- hkl 1 1 -6, 61.09 deg, d = 1.517 Å, rel. 14.4

---

Theoretical PXRD pattern of LaCeLu2 for Cu Kα (λ = 1.5418 Å), from a structure optimized by DFT (GGA-PBE).
No peak broadening, texture or thermal motion is included.

```
data_LaCeLu2
_space_group_name_H-M_alt 'P 4/m m m'
_space_group_IT_number 123
_space_group_name_Hall '-P 4 2'
_cell_length_a 3.602
_cell_length_b 3.602
_cell_length_c 9.651
_cell_angle_alpha 90.00
_cell_angle_beta 90.00
_cell_angle_gamma 90.00
loop_
_atom_site_label
_atom_site_type_symbol
_atom_site_fract_x
_atom_site_fract_y
_atom_site_fract_z
La1 La 0.000 0.000 0.000
Ce1 Ce 0.000 0.000 0.500
Lu1 Lu 0.500 0.500 0.262
```

Principal peaks in the range 2θ = 5–70°, most intense first:
- hkl 1 0 2, 30.98 deg, d = 2.886 Å, rel. 100.0
- hkl 1 1 0, 35.24 deg, d = 2.547 Å, rel. 36.0
- hkl 2 1 2, 60.60 deg, d = 1.528 Å, rel. 29.7
- hkl 1 1 4, 52.22 deg, d = 1.752 Å, rel. 22.4
- hkl 0 0 4, 37.27 deg, d = 2.413 Å, rel. 14.7
- hkl 2 0 0, 50.69 deg, d = 1.801 Å, rel. 12.9
- hkl 2 0 4, 64.57 deg, d = 1.443 Å, rel. 11.8
- hkl 1 0 6, 63.32 deg, d = 1.469 Å, rel. 11.8
- hkl 1 0 0, 24.72 deg, d = 3.602 Å, rel. 1.1
- hkl 1 0 3, 37.48 deg, d = 2.399 Å, rel. 1.0

---

Theoretical PXRD pattern of La4CeMg for Cu Kα (λ = 1.5418 Å), from a structure optimized by DFT (GGA-PBE).
No peak broadening, texture or thermal motion is included.

```
data_La4CeMg
_space_group_name_H-M_alt 'P 4/m m m'
_space_group_IT_number 123
_space_group_name_Hall '-P 4 2'
_cell_length_a 3.606
_cell_length_b 3.606
_cell_length_c 15.221
_cell_angle_alpha 90.00
_cell_angle_beta 90.00
_cell_angle_gamma 90.00
loop_
_atom_site_label
_atom_site_type_symbol
_atom_site_fract_x
_atom_site_fract_y
_atom_site_fract_z
La1 La 0.000 0.000 0.157
La2 La 0.500 0.500 0.343
Ce1 Ce 0.000 0.000 0.500
Mg1 Mg 0.500 0.500 0.000
```

Principal peaks in the range 2θ = 5–70°, most intense first:
- hkl 1 0 3, 30.41 deg, d = 2.939 Å, rel. 100.0
- hkl 1 1 0, 35.20 deg, d = 2.550 Å, rel. 34.7
- hkl 2 1 3, 60.21 deg, d = 1.537 Å, rel. 28.3
- hkl 0 0 1, 5.81 deg, d = 15.221 Å, rel. 25.3
- hkl 1 1 6, 50.77 deg, d = 1.798 Å, rel. 22.0
- hkl 0 0 6, 35.38 deg, d = 2.537 Å, rel. 15.4
- hkl 2 0 0, 50.63 deg, d = 1.803 Å, rel. 12.3
- hkl 1 0 9, 60.46 deg, d = 1.531 Å, rel. 11.3
- hkl 2 0 6, 63.28 deg, d = 1.470 Å, rel. 11.2
- hkl 1 0 1, 25.38 deg, d = 3.509 Å, rel. 6.0

---

Theoretical PXRD pattern of LaCe2MnN5 for Cu Kα (λ = 1.5418 Å), from a structure optimized by DFT (GGA-PBE).
No peak broadening, texture or thermal motion is included.

```
data_LaCe2MnN5
_space_group_name_H-M_alt 'I 4/m c m'
_space_group_IT_number 140
_space_group_name_Hall '-I 4 2c'
_cell_length_a 6.656
_cell_length_b 6.656
_cell_length_c 11.180
_cell_angle_alpha 90.00
_cell_angle_beta 90.00
_cell_angle_gamma 90.00
loop_
_atom_site_label
_atom_site_type_symbol
_atom_site_fract_x
_atom_site_fract_y
_atom_site_fract_z
La1 La 0.000 0.000 0.250
Ce1 Ce 0.175 0.325 0.000
Mn1 Mn 0.000 0.500 0.250
N1 N 0.000 0.000 0.000
N2 N 0.142 0.358 0.356
```

Principal peaks in the range 2θ = 5–70°, most intense first:
- hkl 2 0 2, 31.28 deg, d = 2.860 Å, rel. 100.0
- hkl 2 1 3, 38.72 deg, d = 2.326 Å, rel. 54.2
- hkl 2 1 1, 31.09 deg, d = 2.876 Å, rel. 52.9
- hkl 0 0 4, 32.02 deg, d = 2.795 Å, rel. 38.5
- hkl 2 2 0, 38.25 deg, d = 2.353 Å, rel. 23.3
- hkl 3 1 0, 42.97 deg, d = 2.105 Å, rel. 21.8
- hkl 1 1 2, 24.73 deg, d = 3.600 Å, rel. 21.0
- hkl 2 2 4, 50.71 deg, d = 1.800 Å, rel. 19.6
- hkl 2 0 6, 56.61 deg, d = 1.626 Å, rel. 19.5
- hkl 2 1 5, 51.09 deg, d = 1.788 Å, rel. 18.5